Entry 1:
The following is a computed XRD peak list of CrTcAs4. It was derived from a PBE-relaxed structure, using copper Kα.

The 10 most intense peaks (2θ from 10° to 90°), by angle:
hkl	two_theta	I (rel.)
2 0 0	20.75	67
2 2 0	29.51	15
3 1 0	33.08	22
2 0 2	35.55	100
4 0 0	42.22	60
3 1 2	44.25	56
3 3 2	54.08	38
4 2 2	56.35	35
5 3 0	63.33	16
4 0 4	75.27	20

```
data_CrTcAs4
_chemical_formula_sum 'Cr4 Tc4 As16'
_symmetry_space_group_name_H-M 'I 41 m d'
_symmetry_Int_Tables_number 109
_symmetry_space_group_name_Hall 'I 4bw -2'
_cell_length_a 8.563
_cell_length_b 8.563
_cell_length_c 6.253
_cell_angle_alpha 90.00
_cell_angle_beta 90.00
_cell_angle_gamma 90.00
loop_
_atom_site_label
_atom_site_type_symbol
_atom_site_fract_x
_atom_site_fract_y
_atom_site_fract_z
Cr1 Cr 0.000 0.000 0.000
Tc1 Tc 0.000 0.000 0.500
As1 As 0.000 0.215 0.760
As2 As 0.000 0.218 0.242
```

=====

Entry 2:
The following is a computed XRD peak list of Cu3BiSe2ClO8. It was derived from a PBE-relaxed structure, using copper Kα.

The 10 most intense peaks (2θ from 10° to 90°), by angle:
hkl	two_theta	I (rel.)
0 1 1	15.12	64
1 1 0	16.53	95
1 2 1	25.96	97
1 1 2	29.53	49
0 2 2	30.49	100
1 3 0	30.80	51
2 2 0	33.42	45
2 2 1	35.66	45
1 3 2	39.61	35
2 4 2	53.38	45

```
data_Cu3BiSe2ClO8
_chemical_formula_sum 'Cu6 Bi2 Se4 Cl2 O16'
_symmetry_space_group_name_H-M 'P m m n'
_symmetry_Int_Tables_number 59
_cell_length_a 6.415
_cell_length_b 9.767
_cell_length_c 7.327
_cell_angle_alpha 90.00
_cell_angle_beta 90.00
_cell_angle_gamma 90.00
loop_
_symmetry_equiv_pos_as_xyz
'x,y,z'
'-x,-y,-z'
'-x+1/2,-y+1/2,z'
'x+1/2,y+1/2,-z'
'x+1/2,-y,-z'
'-x+1/2,y,z'
'-x,y+1/2,-z'
'x,-y+1/2,z'
loop_
_atom_site_label
_atom_site_type_symbol
_atom_site_fract_x
_atom_site_fract_y
_atom_site_fract_z
Cu1 Cu 0.000 0.000 0.000
Cu2 Cu 0.250 0.250 0.206
Bi1 Bi 0.250 0.250 0.752
Se1 Se 0.250 0.557 0.391
Cl1 Cl 0.250 0.750 0.846
O1 O 0.038 0.584 0.245
O2 O 0.250 0.114 0.008
O3 O 0.250 0.118 0.411
```

=====

Entry 3:
The following is a computed XRD peak list of GaCuTe. It was derived from a PBE-relaxed structure, using copper Kα.

The 10 most intense peaks (2θ from 10° to 90°), by angle:
hkl	two_theta	I (rel.)
0 0 6	18.16	33
0 1 2	25.58	51
0 0 9	27.38	18
1 0 4	27.70	28
0 1 5	29.20	100
0 1 11	42.26	52
1 1 0	43.74	94
1 0 13	47.67	56
2 0 5	53.46	18
2 1 13	83.19	18

```
data_GaCuTe
_chemical_formula_sum 'Ga6 Cu6 Te6'
_symmetry_space_group_name_H-M 'R 3 m'
_symmetry_Int_Tables_number 160
_symmetry_space_group_name_Hall 'R 3 -2"'
_cell_length_a 4.1392
_cell_length_b 4.1392
_cell_length_c 29.3136
_cell_angle_alpha 90.00
_cell_angle_beta 90.00
_cell_angle_gamma 120.00
loop_
_atom_site_label
_atom_site_type_symbol
_atom_site_fract_x
_atom_site_fract_y
_atom_site_fract_z
Ga1 Ga 0.0000 0.0000 0.0000
Ga2 Ga 0.0000 0.0000 0.4116
Cu1 Cu 0.0000 0.0000 0.3298
Cu2 Cu 0.0000 0.0000 0.6187
Te1 Te 0.0000 0.0000 0.2437
Te2 Te 0.0000 0.0000 0.7898
```

=====

Entry 4:
The following is a computed XRD peak list of Rb3YbF6. It was derived from a PBE-relaxed structure, using copper Kα.

The 10 most intense peaks (2θ from 10° to 90°), by angle:
hkl	two_theta	I (rel.)
1 1 1	16.10	14
2 0 0	18.61	12
2 2 0	26.43	100
4 0 0	37.73	37
4 2 2	46.66	42
4 4 0	54.43	24
6 2 0	61.50	20
4 4 4	68.12	8
6 4 2	74.45	23
6 6 0	86.62	11

```
data_Rb3YbF6
_chemical_formula_sum 'Rb12 Yb4 F24'
_symmetry_space_group_name_H-M 'F m -3 m'
_symmetry_Int_Tables_number 225
_symmetry_space_group_name_Hall '-F 4 2 3'
_cell_length_a 9.537
_cell_length_b 9.537
_cell_length_c 9.537
_cell_angle_alpha 90.00
_cell_angle_beta 90.00
_cell_angle_gamma 90.00
loop_
_atom_site_label
_atom_site_type_symbol
_atom_site_fract_x
_atom_site_fract_y
_atom_site_fract_z
Rb1 Rb 0.000 0.000 0.000
Rb2 Rb 0.250 0.250 0.250
Yb1 Yb 0.000 0.000 0.500
F1 F 0.000 0.000 0.272
```